# 1
For Mg5GaPd2, a DFT-relaxed cell (GGA-PBE, Alexandria) gives the calculated XRD peak list in this record (a wavelength of 1.5418 Å).
Kinematic intensities with the Lorentz-polarization factor, no thermal factor.

Cell and atoms:
Cell lengths 4.5855, 4.5855, 17.4550 Å; angles 90.00, 90.00, 120.00 degrees
Element x y z (fractional)
Mg: 0.0000 0.0000 0.1489
Mg: 0.0000 0.0000 0.3511
Mg: 0.0000 0.0000 0.6489
Mg: 0.0000 0.0000 0.8511
Mg: 0.3333 0.6667 0.0487
Mg: 0.3333 0.6667 0.2500
Mg: 0.3333 0.6667 0.4513
Mg: 0.6667 0.3333 0.5487
Mg: 0.6667 0.3333 0.7500
Mg: 0.6667 0.3333 0.9513
Ga: 0.3333 0.6667 0.7500
Ga: 0.6667 0.3333 0.2500
Pd: 0.3333 0.6667 0.6071
Pd: 0.3333 0.6667 0.8929
Pd: 0.6667 0.3333 0.1071
Pd: 0.6667 0.3333 0.3929

The 12 most intense peaks (2θ from 10° to 90°), in order of falling intensity:
d [Å]	I_rel
2.293	100.0
3.872	98.0
2.112	63.3
3.971	43.8
2.347	33.0
3.280	26.5
1.286	24.3
1.553	23.3
1.801	23.3
1.324	16.3
2.909	16.1
1.581	15.8



# 2
For MgGa9Pd3, a DFT-relaxed cell (GGA-PBE, Alexandria) gives the calculated XRD peak list in this record (a wavelength of 1.5418 Å).
Kinematic intensities with the Lorentz-polarization factor, no thermal factor.

Cell and atoms:
Cell lengths 6.9111, 6.9111, 6.9492 Å; angles 98.07, 98.07, 133.50 degrees
Element x y z (fractional)
Mg: 0.0000 0.0000 0.0000
Ga: 0.0000 0.0000 0.5000
Ga: 0.0028 0.6486 0.6564
Ga: 0.2960 0.5082 0.7933
Ga: 0.3514 0.9972 0.3436
Ga: 0.4918 0.7040 0.2067
Ga: 0.5082 0.2960 0.7933
Ga: 0.6486 0.0028 0.6564
Ga: 0.7040 0.4918 0.2067
Ga: 0.9972 0.3514 0.3436
Pd: 0.0000 0.5000 0.0000
Pd: 0.5000 0.0000 0.0000
Pd: 0.5000 0.5000 0.5000

The 12 most intense peaks (2θ from 10° to 90°), in order of falling intensity:
d [Å]	I_rel
2.271	100.0
2.049	73.9
4.540	58.0
2.068	54.0
2.366	48.7
2.309	42.4
2.012	32.6
2.130	30.2
2.261	21.5
2.678	21.4
1.308	19.3
1.339	18.8



# 3
For Mg3Ga2Pd, a DFT-relaxed cell (GGA-PBE, Alexandria) gives the calculated XRD peak list in this record (a wavelength of 1.5418 Å).
Kinematic intensities with the Lorentz-polarization factor, no thermal factor.

Cell and atoms:
Cell lengths 6.7669, 8.0500, 9.0024 Å; angles 90.00, 109.62, 90.00 degrees
Element x y z (fractional)
Mg: 0.1929 0.1352 0.1656
Mg: 0.1929 0.3648 0.6656
Mg: 0.2392 0.5652 0.9824
Mg: 0.2392 0.9348 0.4824
Mg: 0.2768 0.5546 0.3782
Mg: 0.2768 0.9454 0.8782
Mg: 0.7232 0.0546 0.1218
Mg: 0.7232 0.4454 0.6218
Mg: 0.7608 0.0652 0.5176
Mg: 0.7608 0.4348 0.0176
Mg: 0.8071 0.6352 0.3344
Mg: 0.8071 0.8648 0.8344
Ga: 0.0219 0.7271 0.6430
Ga: 0.0219 0.7729 0.1430
Ga: 0.4321 0.6707 0.7350
Ga: 0.4321 0.8293 0.2350
Ga: 0.5679 0.1707 0.7650
Ga: 0.5679 0.3293 0.2650
Ga: 0.9781 0.2271 0.8570
Ga: 0.9781 0.2729 0.3570
Pd: 0.3881 0.2443 0.4675
Pd: 0.3881 0.2557 0.9675
Pd: 0.6119 0.7443 0.0325
Pd: 0.6119 0.7557 0.5325

The 12 most intense peaks (2θ from 10° to 90°), in order of falling intensity:
d [Å]	I_rel
4.025	100.0
3.754	92.5
2.142	73.2
2.136	68.9
2.268	50.0
2.251	49.8
6.374	42.9
1.964	37.4
2.499	35.7
1.279	31.8
1.819	25.9
2.053	21.5